# MgZnS2
Theoretical powder diffraction line list, Cu Ka. Input: a cell relaxed with PBE.

The 10 most intense peaks (2θ from 10° to 90°), by angle:
- 13.82 deg, intensity 38, (0 0 1)
- 26.15 deg, intensity 100, (1 0 0)
- 27.85 deg, intensity 48, (0 0 2)
- 29.70 deg, intensity 70, (1 0 1)
- 38.58 deg, intensity 39, (1 0 2)
- 46.15 deg, intensity 63, (1 1 0)
- 50.43 deg, intensity 64, (1 0 3)
- 54.76 deg, intensity 39, (1 1 2)
- 70.74 deg, intensity 22, (0 2 3)
- 88.70 deg, intensity 24, (2 1 3)

Crystal structure
```
data_MgZnS2
_space_group_name_H-M_alt 'P 3 m 1'
_space_group_IT_number 156
_cell_length_a 3.9342
_cell_length_b 3.9342
_cell_length_c 6.4068
_cell_angle_alpha 90.00
_cell_angle_beta 90.00
_cell_angle_gamma 120.00
loop_
_space_group_symop_operation_xyz
'x,y,z'
'-y,x-y,z'
'-x+y,-x,z'
'-y,-x,z'
'-x+y,y,z'
'x,x-y,z'
loop_
_atom_site_label
_atom_site_type_symbol
_atom_site_fract_x
_atom_site_fract_y
_atom_site_fract_z
Mg1 Mg 0.0000 0.0000 0.0000
Zn1 Zn 0.6667 0.3333 0.5037
S1 S 0.0000 0.0000 0.3853
S2 S 0.6667 0.3333 0.8711
```